Calculated X-ray powder pattern of CePm5Nd2Sm for Cu Kα (λ = 1.5418 Å), from DFT lattice parameters and positions (PBE).
Intensities are scaled so that the largest is 100.

Most intense lines, 10° ≤ 2θ ≤ 90°, by angle:
| 2θ/deg | I/Imax | hkl |
| --- | --- | --- |
| 25.9 | 23 | 2 1 1 |
| 29.2 | 100 | 2 0 2 |
| 30.4 | 40 | 2 2 0 |
| 31.2 | 57 | 2 1 2 |
| 34.1 | 17 | 3 1 0 |
| 35.6 | 11 | 3 1 1 |
| 39.8 | 20 | 0 0 4 |
| 49.5 | 16 | 4 1 2 |
| 51.0 | 16 | 2 2 4 |
| 53.3 | 17 | 4 2 2 |

Atomic structure:
```
data_CePm5Nd2Sm
_space_group_name_H-M_alt 'P 4/m b m'
_space_group_IT_number 127
_space_group_name_Hall '-P 4 2ab'
_cell_length_a 8.3063
_cell_length_b 8.3063
_cell_length_c 9.0498
_cell_angle_alpha 90.00
_cell_angle_beta 90.00
_cell_angle_gamma 90.00
loop_
_atom_site_label
_atom_site_type_symbol
_atom_site_fract_x
_atom_site_fract_y
_atom_site_fract_z
_atom_site_occupancy
Ce1 Ce 0.0000 0.5000 0.0000 1
Pm1 Pm 0.0000 0.0000 0.5000 1
Pm2 Pm 0.2016 0.2984 0.2256 1
Nd1 Nd 0.1277 0.6277 0.5000 1
Sm1 Sm 0.0000 0.0000 0.0000 1
```

Calculated X-ray powder pattern of Ac2AgAsO8 for Cu Kα (λ = 1.5418 Å), from DFT lattice parameters and positions (PBE).
Intensities are scaled so that the largest is 100.

Most intense lines, 10° ≤ 2θ ≤ 90°, by angle:
| 2θ/deg | I/Imax | hkl |
| --- | --- | --- |
| 22.9 | 100 | 0 1 1 |
| 29.6 | 67 | 1 0 2 |
| 35.3 | 54 | 1 1 0 |
| 38.5 | 24 | 0 1 3 |
| 42.5 | 33 | 2 0 1 |
| 46.7 | 26 | 0 2 2 |
| 48.7 | 20 | 1 1 3 |
| 56.4 | 19 | 1 2 1 |
| 57.5 | 18 | 1 1 4 |
| 59.9 | 19 | 2 1 2 |

Atomic structure:
```
data_Ac2AgAsO8
_space_group_name_H-M_alt 'P -3 m 1'
_space_group_IT_number 164
_space_group_name_Hall '-P 3 2"'
_cell_length_a 5.0839
_cell_length_b 5.0839
_cell_length_c 8.2699
_cell_angle_alpha 90.00
_cell_angle_beta 90.00
_cell_angle_gamma 120.00
loop_
_atom_site_label
_atom_site_type_symbol
_atom_site_fract_x
_atom_site_fract_y
_atom_site_fract_z
_atom_site_occupancy
Ac1 Ac 0.3333 0.6667 0.2857 1
Ag1 Ag 0.0000 0.0000 0.0000 1
As1 As 0.0000 0.0000 0.5000 1
O1 O 0.1632 0.3263 0.6392 1
O2 O 0.3333 0.6667 0.9918 1
```

Calculated X-ray powder pattern of LiOsRh3 for Cu Kα (λ = 1.5418 Å), from DFT lattice parameters and positions (PBE).
Intensities are scaled so that the largest is 100.

Most intense lines, 10° ≤ 2θ ≤ 90°, by angle:
| 2θ/deg | I/Imax | hkl |
| --- | --- | --- |
| 14.4 | 57 | 0 0 1 |
| 15.7 | 13 | 2 0 -1 |
| 38.2 | 19 | 3 1 -1 |
| 38.4 | 15 | 6 0 -2 |
| 41.6 | 35 | 4 0 2 |
| 43.7 | 100 | 1 1 -2 |
| 43.9 | 39 | 8 0 -1 |
| 69.3 | 15 | 9 1 -3 |
| 77.4 | 17 | 3 1 4 |
| 84.2 | 17 | 13 1 -1 |

Atomic structure:
```
data_LiOsRh3
_space_group_name_H-M_alt 'C 1 2/m 1'
_space_group_IT_number 12
_space_group_name_Hall '-C 2y'
_cell_length_a 16.5248
_cell_length_b 2.7276
_cell_length_c 6.3877
_cell_angle_alpha 90.00
_cell_angle_beta 105.51
_cell_angle_gamma 90.00
loop_
_atom_site_label
_atom_site_type_symbol
_atom_site_fract_x
_atom_site_fract_y
_atom_site_fract_z
_atom_site_occupancy
Li1 Li 0.1193 0.0000 0.0258 1
Os1 Os 0.0812 0.0000 0.5691 1
Rh1 Rh 0.0114 0.5000 0.2136 1
Rh2 Rh 0.1842 0.5000 0.3890 1
Rh3 Rh 0.2137 0.5000 0.8202 1
```

Calculated X-ray powder pattern of LiThRuO6 for Cu Kα (λ = 1.5418 Å), from DFT lattice parameters and positions (PBE).
Intensities are scaled so that the largest is 100.

Most intense lines, 10° ≤ 2θ ≤ 90°, by angle:
| 2θ/deg | I/Imax | hkl |
| --- | --- | --- |
| 18.0 | 31 | 0 0 2 |
| 20.0 | 100 | 1 0 1 |
| 25.4 | 97 | 1 1 0 |
| 31.3 | 35 | 1 1 2 |
| 32.7 | 79 | 1 0 3 |
| 36.2 | 21 | 2 0 0 |
| 40.7 | 19 | 2 0 2 |
| 41.7 | 33 | 2 1 1 |
| 49.6 | 66 | 2 1 3 |
| 62.9 | 20 | 3 0 3 |

Atomic structure:
```
data_LiThRuO6
_space_group_name_H-M_alt 'P 42 n m'
_space_group_IT_number 102
_space_group_name_Hall 'P 4n -2n'
_cell_length_a 4.9646
_cell_length_b 4.9646
_cell_length_c 9.8306
_cell_angle_alpha 90.00
_cell_angle_beta 90.00
_cell_angle_gamma 90.00
loop_
_atom_site_label
_atom_site_type_symbol
_atom_site_fract_x
_atom_site_fract_y
_atom_site_fract_z
_atom_site_occupancy
Li1 Li 0.0000 0.0000 0.0000 1
Th1 Th 0.0000 0.0000 0.3468 1
Ru1 Ru 0.0000 0.0000 0.6792 1
O1 O 0.1829 0.1829 0.8277 1
O2 O 0.1897 0.1897 0.5407 1
O3 O 0.2319 0.2319 0.1788 1
```

Calculated X-ray powder pattern of TbB2O4 for Cu Kα (λ = 1.5418 Å), from DFT lattice parameters and positions (PBE).
Intensities are scaled so that the largest is 100.

Most intense lines, 10° ≤ 2θ ≤ 90°, by angle:
| 2θ/deg | I/Imax | hkl |
| --- | --- | --- |
| 18.6 | 34 | 1 1 0 |
| 25.6 | 100 | 1 0 1 |
| 26.4 | 59 | 2 0 0 |
| 37.1 | 40 | 1 2 1 |
| 37.7 | 13 | 2 2 0 |
| 42.3 | 21 | 1 3 0 |
| 46.1 | 32 | 3 0 1 |
| 53.9 | 26 | 3 2 1 |
| 63.3 | 18 | 1 3 2 |
| 74.0 | 14 | 5 0 1 |

Atomic structure:
```
data_TbB2O4
_space_group_name_H-M_alt 'I 4/m'
_space_group_IT_number 87
_space_group_name_Hall '-I 4'
_cell_length_a 6.7519
_cell_length_b 6.7519
_cell_length_c 4.0532
_cell_angle_alpha 90.00
_cell_angle_beta 90.00
_cell_angle_gamma 90.00
loop_
_atom_site_label
_atom_site_type_symbol
_atom_site_fract_x
_atom_site_fract_y
_atom_site_fract_z
_atom_site_occupancy
Tb1 Tb 0.0000 0.0000 0.0000 1
B1 B 0.0000 0.5000 0.2500 1
O1 O 0.0032 0.3388 0.0000 1
```

Calculated X-ray powder pattern of CsAgS2O6 for Cu Kα (λ = 1.5418 Å), from DFT lattice parameters and positions (PBE).
Intensities are scaled so that the largest is 100.

Most intense lines, 10° ≤ 2θ ≤ 90°, by angle:
| 2θ/deg | I/Imax | hkl |
| --- | --- | --- |
| 11.3 | 24 | 1 1 0 |
| 17.1 | 21 | 2 0 0 |
| 23.7 | 100 | 2 2 -1 |
| 26.3 | 59 | 1 3 -1 |
| 28.7 | 44 | 0 0 2 |
| 29.7 | 29 | 2 2 1 |
| 33.8 | 19 | 3 3 -1 |
| 34.6 | 17 | 4 0 0 |
| 38.4 | 19 | 1 5 0 |
| 47.6 | 20 | 1 3 -3 |

Atomic structure:
```
data_CsAgS2O6
_space_group_name_H-M_alt 'C 1 2/c 1'
_space_group_IT_number 15
_space_group_name_Hall '-C 2yc'
_cell_length_a 10.9344
_cell_length_b 12.0359
_cell_length_c 6.5731
_cell_angle_alpha 90.00
_cell_angle_beta 108.55
_cell_angle_gamma 90.00
loop_
_atom_site_label
_atom_site_type_symbol
_atom_site_fract_x
_atom_site_fract_y
_atom_site_fract_z
_atom_site_occupancy
Cs1 Cs 0.0000 0.1985 0.2500 1
Ag1 Ag 0.0000 0.4303 0.7500 1
S1 S 0.2359 0.0728 0.8214 1
O1 O 0.1168 0.4186 0.1044 1
O2 O 0.1767 0.1796 0.7302 1
O3 O 0.1931 0.0251 0.1736 1
```

Calculated X-ray powder pattern of CaS3O9 for Cu Kα (λ = 1.5418 Å), from DFT lattice parameters and positions (PBE).
Intensities are scaled so that the largest is 100.

Most intense lines, 10° ≤ 2θ ≤ 90°, by angle:
| 2θ/deg | I/Imax | hkl |
| --- | --- | --- |
| 15.7 | 28 | 0 2 0 |
| 17.4 | 34 | 1 1 1 |
| 24.3 | 33 | 2 2 0 |
| 25.0 | 100 | 0 0 2 |
| 25.4 | 86 | 1 3 0 |
| 28.4 | 20 | 1 3 1 |
| 31.5 | 52 | 3 1 1 |
| 35.1 | 29 | 2 2 2 |
| 36.0 | 27 | 1 3 2 |
| 48.3 | 26 | 3 1 3 |

Atomic structure:
```
data_CaS3O9
_space_group_name_H-M_alt 'C 2 2 21'
_space_group_IT_number 20
_space_group_name_Hall 'C 2c 2'
_cell_length_a 9.6501
_cell_length_b 11.2697
_cell_length_c 7.1206
_cell_angle_alpha 90.00
_cell_angle_beta 90.00
_cell_angle_gamma 90.00
loop_
_atom_site_label
_atom_site_type_symbol
_atom_site_fract_x
_atom_site_fract_y
_atom_site_fract_z
_atom_site_occupancy
Ca1 Ca 0.1026 0.0000 0.0000 1
S1 S 0.0372 0.3383 0.4568 1
S2 S 0.2189 0.0000 0.5000 1
O1 O 0.0000 0.4036 0.2500 1
O2 O 0.0079 0.2153 0.0532 1
O3 O 0.1233 0.0285 0.6619 1
O4 O 0.1837 0.3604 0.4967 1
O5 O 0.1970 0.3966 0.9425 1
```

Calculated X-ray powder pattern of Ti2TcClO for Cu Kα (λ = 1.5418 Å), from DFT lattice parameters and positions (PBE).
Intensities are scaled so that the largest is 100.

Most intense lines, 10° ≤ 2θ ≤ 90°, by angle:
| 2θ/deg | I/Imax | hkl |
| --- | --- | --- |
| 21.3 | 32 | 1 0 0 |
| 30.7 | 9 | 1 0 1 |
| 37.6 | 100 | 1 1 1 |
| 43.3 | 43 | 2 0 0 |
| 44.5 | 20 | 0 0 2 |
| 62.9 | 13 | 2 2 0 |
| 63.9 | 25 | 2 0 2 |
| 75.7 | 23 | 3 1 1 |
| 77.4 | 11 | 1 1 3 |
| 80.3 | 12 | 2 2 2 |

Atomic structure:
```
data_Ti2TcClO
_space_group_name_H-M_alt 'P 4/m m m'
_space_group_IT_number 123
_space_group_name_Hall '-P 4 2'
_cell_length_a 4.1797
_cell_length_b 4.1797
_cell_length_c 4.0681
_cell_angle_alpha 90.00
_cell_angle_beta 90.00
_cell_angle_gamma 90.00
loop_
_atom_site_label
_atom_site_type_symbol
_atom_site_fract_x
_atom_site_fract_y
_atom_site_fract_z
_atom_site_occupancy
Ti1 Ti 0.0000 0.5000 0.0000 1
Tc1 Tc 0.0000 0.0000 0.5000 1
Cl1 Cl 0.5000 0.5000 0.5000 1
O1 O 0.0000 0.0000 0.0000 1
```

Calculated X-ray powder pattern of SrLiIn6 for Cu Kα (λ = 1.5418 Å), from DFT lattice parameters and positions (PBE).
Intensities are scaled so that the largest is 100.

Most intense lines, 10° ≤ 2θ ≤ 90°, by angle:
| 2θ/deg | I/Imax | hkl |
| --- | --- | --- |
| 26.4 | 15 | 1 1 1 |
| 28.4 | 15 | 0 2 1 |
| 31.3 | 17 | 0 0 2 |
| 33.6 | 100 | 1 2 1 |
| 35.7 | 36 | 2 0 0 |
| 36.2 | 27 | 1 0 2 |
| 48.2 | 14 | 2 0 2 |
| 53.9 | 10 | 0 2 3 |
| 62.9 | 16 | 3 2 1 |
| 66.4 | 11 | 2 2 3 |

Atomic structure:
```
data_SrLiIn6
_space_group_name_H-M_alt 'P m m 2'
_space_group_IT_number 25
_space_group_name_Hall 'P 2 -2'
_cell_length_a 5.0268
_cell_length_b 7.5211
_cell_length_c 5.7167
_cell_angle_alpha 90.00
_cell_angle_beta 90.00
_cell_angle_gamma 90.00
loop_
_atom_site_label
_atom_site_type_symbol
_atom_site_fract_x
_atom_site_fract_y
_atom_site_fract_z
_atom_site_occupancy
Sr1 Sr 0.0000 0.0000 0.0000 1
Li1 Li 0.5000 0.5000 0.3268 1
In1 In 0.0000 0.2844 0.4988 1
In2 In 0.0000 0.5000 0.0188 1
In3 In 0.5000 0.0000 0.4333 1
In4 In 0.5000 0.2885 0.8460 1
```

Calculated X-ray powder pattern of Pm3Dy4Y for Cu Kα (λ = 1.5418 Å), from DFT lattice parameters and positions (PBE).
Intensities are scaled so that the largest is 100.

Most intense lines, 10° ≤ 2θ ≤ 90°, by angle:
| 2θ/deg | I/Imax | hkl |
| --- | --- | --- |
| 28.2 | 24 | 0 0 2 |
| 31.2 | 24 | 4 0 0 |
| 32.3 | 100 | 2 2 1 |
| 42.6 | 16 | 4 0 2 |
| 49.8 | 7 | 0 4 0 |
| 50.0 | 13 | 0 2 3 |
| 56.3 | 21 | 6 2 1 |
| 60.0 | 8 | 4 4 0 |
| 60.1 | 15 | 4 2 3 |
| 60.7 | 11 | 2 4 2 |

Atomic structure:
```
data_Pm3Dy4Y
_space_group_name_H-M_alt 'P m n 21'
_space_group_IT_number 31
_space_group_name_Hall 'P 2ac -2'
_cell_length_a 11.4550
_cell_length_b 7.3220
_cell_length_c 6.3167
_cell_angle_alpha 90.00
_cell_angle_beta 90.00
_cell_angle_gamma 90.00
loop_
_atom_site_label
_atom_site_type_symbol
_atom_site_fract_x
_atom_site_fract_y
_atom_site_fract_z
_atom_site_occupancy
Pm1 Pm 0.0000 0.1275 0.0000 1
Pm2 Pm 0.2503 0.1268 0.3347 1
Dy1 Dy 0.0000 0.3767 0.5003 1
Dy2 Dy 0.0000 0.6216 0.0001 1
Dy3 Dy 0.2490 0.6224 0.3322 1
Y1 Y 0.0000 0.8718 0.4989 1
```

Calculated X-ray powder pattern of CaP4 for Cu Kα (λ = 1.5418 Å), from DFT lattice parameters and positions (PBE).
Intensities are scaled so that the largest is 100.

Most intense lines, 10° ≤ 2θ ≤ 90°, by angle:
| 2θ/deg | I/Imax | hkl |
| --- | --- | --- |
| 23.0 | 19 | 1 1 0 |
| 24.8 | 19 | 1 1 -1 |
| 25.9 | 22 | 1 0 -2 |
| 26.7 | 100 | 1 1 1 |
| 31.1 | 47 | 1 1 -2 |
| 38.8 | 16 | 0 1 3 |
| 41.5 | 24 | 0 2 2 |
| 41.9 | 27 | 2 0 2 |
| 47.1 | 15 | 2 2 0 |
| 47.4 | 20 | 1 0 -4 |

Atomic structure:
```
data_CaP4
_space_group_name_H-M_alt 'P 1 21/c 1'
_space_group_IT_number 14
_space_group_name_Hall '-P 2ybc'
_cell_length_a 5.7362
_cell_length_b 5.2594
_cell_length_c 7.8434
_cell_angle_alpha 90.00
_cell_angle_beta 97.94
_cell_angle_gamma 90.00
loop_
_atom_site_label
_atom_site_type_symbol
_atom_site_fract_x
_atom_site_fract_y
_atom_site_fract_z
_atom_site_occupancy
Ca1 Ca 0.0000 0.0000 0.0000 1
P1 P 0.2868 0.2081 0.7593 1
P2 P 0.4038 0.5956 0.1021 1
```